(1)
This entry pairs a crystal structure of Ca2SnBr with its simulated X-ray diffraction stick pattern. Radiation: Cu Kα (λ = 1.5418 Å). Structure: the GGA-PBE geometry in Alexandria.

Top 10 peaks for 2θ from 10° to 90°, by intensity:
2θ = 28.3°, I = 100; 2θ = 38.9°, I = 41; 2θ = 41.9°, I = 34; 2θ = 25.0°, I = 22; 2θ = 51.3°, I = 18; 2θ = 64.1°, I = 18; 2θ = 68.3°, I = 15; 2θ = 58.5°, I = 12; 2θ = 74.5°, I = 12; 2θ = 22.6°, I = 9

Crystal structure
```
data_Ca2SnBr
_cell_length_a 4.3167
_cell_length_b 4.3167
_cell_length_c 23.5808
_cell_angle_alpha 90.00
_cell_angle_beta 90.00
_cell_angle_gamma 120.00
_symmetry_space_group_name_H-M 'R -3 m'
_symmetry_Int_Tables_number 166
_symmetry_space_group_name_Hall '-R 3 2"'
loop_
_atom_site_label
_atom_site_fract_x
_atom_site_fract_y
_atom_site_fract_z
Ca1 0.0000 0.0000 0.2461
Sn1 0.0000 0.0000 0.5000
Br1 0.0000 0.0000 0.0000
```

---

(2)
This entry pairs a crystal structure of CaSn5Br12 with its simulated X-ray diffraction stick pattern. Radiation: Cu Kα (λ = 1.5418 Å). Structure: the GGA-PBE geometry in Alexandria.

Top 10 peaks for 2θ from 10° to 90°, by intensity:
2θ = 26.7°, I = 100; 2θ = 30.4°, I = 89; 2θ = 12.7°, I = 87; 2θ = 41.8°, I = 63; 2θ = 40.1°, I = 47; 2θ = 35.0°, I = 37; 2θ = 24.3°, I = 34; 2θ = 45.7°, I = 25; 2θ = 41.1°, I = 24; 2θ = 55.1°, I = 19

Crystal structure
```
data_CaSn5Br12
_cell_length_a 7.5685
_cell_length_b 13.1689
_cell_length_c 13.9735
_cell_angle_alpha 90.00
_cell_angle_beta 90.02
_cell_angle_gamma 90.00
_symmetry_space_group_name_H-M 'C 1 2/m 1'
_symmetry_Int_Tables_number 12
_symmetry_space_group_name_Hall '-C 2y'
loop_
_atom_site_label
_atom_site_fract_x
_atom_site_fract_y
_atom_site_fract_z
Ca1 0.0000 0.0000 0.0000
Sn1 0.0000 0.1666 0.5000
Sn2 0.0000 0.3333 0.0000
Sn3 0.0000 0.5000 0.5000
Br1 0.1613 0.1618 0.1146
Br2 0.1659 0.0000 0.3809
Br3 0.1660 0.3333 0.3810
Br4 0.1756 0.5000 0.1146
```

---

(3)
This entry pairs a crystal structure of SrCaSnBr6 with its simulated X-ray diffraction stick pattern. Radiation: Cu Kα (λ = 1.5418 Å). Structure: the GGA-PBE geometry in Alexandria.

Top 10 peaks for 2θ from 10° to 90°, by intensity:
2θ = 26.6°, I = 100; 2θ = 34.7°, I = 73; 2θ = 17.8°, I = 63; 2θ = 43.4°, I = 59; 2θ = 28.4°, I = 36; 2θ = 36.1°, I = 35; 2θ = 39.7°, I = 24; 2θ = 68.8°, I = 23; 2θ = 75.8°, I = 21; 2θ = 54.7°, I = 20

Crystal structure
```
data_SrCaSnBr6
_cell_length_a 7.0296
_cell_length_b 7.0296
_cell_length_c 13.6368
_cell_angle_alpha 90.00
_cell_angle_beta 90.00
_cell_angle_gamma 90.00
_symmetry_space_group_name_H-M 'P 42 n m'
_symmetry_Int_Tables_number 102
_symmetry_space_group_name_Hall 'P 4n -2n'
loop_
_atom_site_label
_atom_site_fract_x
_atom_site_fract_y
_atom_site_fract_z
Sr1 0.0000 0.0000 0.0000
Ca1 0.0000 0.0000 0.6662
Sn1 0.0000 0.0000 0.3324
Br1 0.1909 0.1909 0.5036
Br2 0.1962 0.1962 0.8261
Br3 0.2033 0.2033 0.1688
```

---

(4)
This entry pairs a crystal structure of SrCaZnBr2 with its simulated X-ray diffraction stick pattern. Radiation: Cu Kα (λ = 1.5418 Å). Structure: the GGA-PBE geometry in Alexandria.

Top 10 peaks for 2θ from 10° to 90°, by intensity:
2θ = 26.7°, I = 100; 2θ = 31.3°, I = 89; 2θ = 44.1°, I = 67; 2θ = 30.2°, I = 48; 2θ = 15.5°, I = 48; 2θ = 55.0°, I = 34; 2θ = 44.8°, I = 32; 2θ = 52.9°, I = 28; 2θ = 15.0°, I = 21; 2θ = 82.1°, I = 21

Crystal structure
```
data_SrCaZnBr2
_cell_length_a 5.7215
_cell_length_b 5.7215
_cell_length_c 5.9098
_cell_angle_alpha 90.00
_cell_angle_beta 90.00
_cell_angle_gamma 90.00
_symmetry_space_group_name_H-M 'P 4/m m m'
_symmetry_Int_Tables_number 123
_symmetry_space_group_name_Hall '-P 4 2'
loop_
_atom_site_label
_atom_site_fract_x
_atom_site_fract_y
_atom_site_fract_z
Sr1 0.0000 0.0000 0.0000
Ca1 0.5000 0.5000 0.0000
Zn1 0.0000 0.0000 0.5000
Br1 0.0000 0.5000 0.5000
```